[1]
The following is a computed powder diffractogram of La4MnO8. It was derived from the GGA+U geometry in the Materials Project, using a wavelength of 1.5418 Å.
No peak broadening, texture or thermal motion is included.

Unit cell a=5.386 b=5.386 c=25.522 alpha=90.00 beta=90.00 gamma=90.00
Space group I4_1/amd (No. 141, origin choice 2)
Symmetry-distinct sites (fractional):
La: 0.000 0.250 0.056 x8
La: 0.000 0.250 0.190 x8
Mn: 0.000 0.250 0.375 x4
O: 0.000 0.250 0.294 x8
O: 0.000 0.250 0.782 x8
O: 0.244 0.006 0.375 x16

Principal peaks in the range 2θ = 10–90°, in order of rising 2θ:
- 24.39°, 3.650 Å, intensity 76.5, hkl 1 1 2
- 27.97°, 3.190 Å, intensity 32.5, hkl 0 0 8
- 31.53°, 2.838 Å, intensity 100.0, hkl 1 1 6
- 33.27°, 2.693 Å, intensity 83.3, hkl 2 0 0
- 42.64°, 2.120 Å, intensity 29.7, hkl 1 1 10
- 44.00°, 2.058 Å, intensity 65.0, hkl 2 0 8
- 47.76°, 1.904 Å, intensity 42.9, hkl 2 2 0
- 54.34°, 1.688 Å, intensity 18.4, hkl 3 1 2
- 55.92°, 1.644 Å, intensity 19.8, hkl 1 1 14
- 56.26°, 1.635 Å, intensity 19.6, hkl 2 2 8
- 58.36°, 1.581 Å, intensity 36.0, hkl 3 1 6
- 86.34°, 1.127 Å, intensity 17.6, hkl 4 2 8

=====

[2]
The following is a computed powder diffractogram of Li9Mn2Co5O16. It was derived from the GGA+U geometry in the Materials Project, using a wavelength of 1.5418 Å.
No peak broadening, texture or thermal motion is included.

Unit cell a=3.016 b=10.026 c=10.123 alpha=106.84 beta=91.18 gamma=91.87
Space group P1 (No. 1)
Symmetry-distinct sites (fractional):
Li: 0.000 0.000 0.000 x1
Li: 0.001 0.249 0.753 x1
Li: 0.003 0.498 0.505 x1
Li: 0.005 0.499 0.999 x1
Li: 0.499 0.751 0.501 x1
Li: 0.500 0.251 0.509 x1
Li: 0.502 0.247 0.997 x1
Li: 0.504 0.746 0.004 x1
Li: 0.996 0.998 0.508 x1
Mn: 0.001 0.749 0.753 x1
Mn: 0.501 0.999 0.253 x1
Co: 0.003 0.747 0.253 x1
Co: 0.494 0.010 0.754 x1
Co: 0.501 0.498 0.252 x1
Co: 0.508 0.487 0.752 x1
Co: 0.999 0.251 0.253 x1
O: 0.007 0.623 0.370 x1
O: 0.023 0.873 0.639 x1
O: 0.029 0.383 0.638 x1
O: 0.036 0.872 0.135 x1
O: 0.477 0.879 0.864 x1
O: 0.494 0.126 0.139 x1
O: 0.497 0.389 0.868 x1
O: 0.497 0.624 0.138 x1
O: 0.505 0.108 0.638 x1
O: 0.505 0.374 0.368 x1
O: 0.508 0.871 0.366 x1
O: 0.525 0.619 0.642 x1
O: 0.965 0.126 0.371 x1
O: 0.975 0.114 0.867 x1
O: 0.977 0.624 0.867 x1
O: 0.995 0.375 0.135 x1

Principal peaks in the range 2θ = 10–90°, in order of rising 2θ:
- 18.32°, 4.842 Å, intensity 100.0, hkl 0 0 2
- 34.51°, 2.599 Å, intensity 19.3, hkl 1 -2 0
- 35.83°, 2.506 Å, intensity 14.1, hkl 1 2 0
- 36.68°, 2.450 Å, intensity 10.8, hkl 0 4 -2
- 37.10°, 2.423 Å, intensity 8.2, hkl 0 0 4
- 41.53°, 2.175 Å, intensity 33.6, hkl -1 2 2
- 43.52°, 2.080 Å, intensity 28.4, hkl 1 2 2
- 44.81°, 2.022 Å, intensity 25.1, hkl 0 4 -4
- 61.55°, 1.507 Å, intensity 8.8, hkl 2 0 0
- 61.88°, 1.499 Å, intensity 8.2, hkl 0 4 4
- 62.67°, 1.482 Å, intensity 7.9, hkl 1 2 -6
- 62.81°, 1.479 Å, intensity 7.7, hkl 1 -6 2

=====

[3]
The following is a computed powder diffractogram of BaMnO3. It was derived from the GGA+U geometry in the Materials Project, using a wavelength of 1.5418 Å.
No peak broadening, texture or thermal motion is included.

Unit cell a=5.7642 b=5.7642 c=36.3592 alpha=90.00 beta=90.00 gamma=120.00
Space group R-3m (No. 166, hexagonal axes)
Symmetry-distinct sites (fractional):
Ba: 0.0000 0.0000 0.0000 x3
Ba: 0.0000 0.0000 0.1340 x6
Ba: 0.0000 0.0000 0.2654 x6
Mn: 0.0000 0.0000 0.3615 x6
Mn: 0.0000 0.0000 0.4313 x6
Mn: 0.0000 0.0000 0.5000 x3
O: 0.0000 0.5000 0.0000 x9
O: 0.0354 0.5177 0.1328 x18
O: 0.0392 0.5196 0.2691 x18

Principal peaks in the range 2θ = 10–90°, in order of rising 2θ:
- 24.74°, 3.599 Å, intensity 43.0, hkl 1 0 7
- 26.52°, 3.361 Å, intensity 59.2, hkl 0 1 8
- 31.03°, 2.882 Å, intensity 100.0, hkl 1 1 0
- 37.09°, 2.424 Å, intensity 11.1, hkl 0 0 15
- 39.10°, 2.304 Å, intensity 15.2, hkl 0 1 14
- 40.08°, 2.250 Å, intensity 31.0, hkl 0 2 7
- 41.27°, 2.188 Å, intensity 36.7, hkl 2 0 8
- 50.73°, 1.800 Å, intensity 13.1, hkl 2 0 14
- 52.51°, 1.743 Å, intensity 15.4, hkl 1 2 8
- 55.20°, 1.664 Å, intensity 18.7, hkl 3 0 0
- 60.67°, 1.526 Å, intensity 10.7, hkl 1 2 14
- 64.68°, 1.441 Å, intensity 19.0, hkl 2 2 0

=====

- Number 2 is which compound?
  Li9Mn2Co5O16

=====

Please write out number 3 again, unchanged.
The following is a computed powder diffractogram of BaMnO3. It was derived from the GGA+U geometry in the Materials Project, using a wavelength of 1.5418 Å.
No peak broadening, texture or thermal motion is included.

Unit cell a=5.7642 b=5.7642 c=36.3592 alpha=90.00 beta=90.00 gamma=120.00
Space group R-3m (No. 166, hexagonal axes)
Symmetry-distinct sites (fractional):
Ba: 0.0000 0.0000 0.0000 x3
Ba: 0.0000 0.0000 0.1340 x6
Ba: 0.0000 0.0000 0.2654 x6
Mn: 0.0000 0.0000 0.3615 x6
Mn: 0.0000 0.0000 0.4313 x6
Mn: 0.0000 0.0000 0.5000 x3
O: 0.0000 0.5000 0.0000 x9
O: 0.0354 0.5177 0.1328 x18
O: 0.0392 0.5196 0.2691 x18

Principal peaks in the range 2θ = 10–90°, in order of rising 2θ:
- 24.74°, 3.599 Å, intensity 43.0, hkl 1 0 7
- 26.52°, 3.361 Å, intensity 59.2, hkl 0 1 8
- 31.03°, 2.882 Å, intensity 100.0, hkl 1 1 0
- 37.09°, 2.424 Å, intensity 11.1, hkl 0 0 15
- 39.10°, 2.304 Å, intensity 15.2, hkl 0 1 14
- 40.08°, 2.250 Å, intensity 31.0, hkl 0 2 7
- 41.27°, 2.188 Å, intensity 36.7, hkl 2 0 8
- 50.73°, 1.800 Å, intensity 13.1, hkl 2 0 14
- 52.51°, 1.743 Å, intensity 15.4, hkl 1 2 8
- 55.20°, 1.664 Å, intensity 18.7, hkl 3 0 0
- 60.67°, 1.526 Å, intensity 10.7, hkl 1 2 14
- 64.68°, 1.441 Å, intensity 19.0, hkl 2 2 0